The following is a calculated powder diffractogram of Hg5P2. It was derived from a cell relaxed with GGA-PBE, using Cu Ka.
No peak broadening, texture or thermal motion is included.

The 10 most intense peaks (2θ = 10–80°), by angle:
- 2θ = 16.69°, rel. 18.3
- 2θ = 32.33°, rel. 49.5
- 2θ = 32.77°, rel. 100.0
- 2θ = 32.98°, rel. 58.2
- 2θ = 33.62°, rel. 55.4
- 2θ = 46.06°, rel. 19.4
- 2θ = 46.21°, rel. 18.6
- 2θ = 55.74°, rel. 19.4
- 2θ = 58.22°, rel. 32.6
- 2θ = 59.46°, rel. 21.9

Structure:
```
data_Hg5P2
_space_group_name_H-M_alt 'F d d 2'
_space_group_IT_number 43
_space_group_name_Hall 'F 2 -2d'
_cell_length_a 7.883
_cell_length_b 22.486
_cell_length_c 7.583
_cell_angle_alpha 90.00
_cell_angle_beta 90.00
_cell_angle_gamma 90.00
loop_
_atom_site_label
_atom_site_fract_x
_atom_site_fract_y
_atom_site_fract_z
Hg1 0.000 0.000 0.000
Hg2 0.003 0.160 0.988
Hg3 0.010 0.309 0.989
P1 0.000 0.049 0.482
```